The following is a theoretical powder XRD pattern of Li2CaCu9. It was derived from a cell relaxed with PBE, using Cu Ka.
Neutral-atom scattering factors, no anomalous dispersion.

Most intense lines, 2θ = 5–70°, most intense first:
| d/Å | 2θ (°) | intensity | hkl |
| --- | --- | --- | --- |
| 4.916 | 18.04 | 100 | 0 0 1 |
| 2.027 | 44.72 | 86 | 4 1 0 |
| 2.054 | 44.10 | 72 | 2 1 2 |
| 2.328 | 38.69 | 56 | 3 1 1 |
| 2.119 | 42.68 | 38 | 2 0 2 |
| 3.737 | 23.81 | 37 | 2 1 0 |
| 1.800 | 50.72 | 29 | 3 1 2 |
| 1.970 | 46.09 | 29 | 3 3 0 |
| 2.096 | 43.15 | 22 | 3 2 1 |
| 1.874 | 48.59 | 21 | 4 1 1 |

```
24
Lattice="8.3560 0.0000 0.0000 0.0000 8.3560 0.0000 0.0000 0.0000 4.9163" Properties=species:S:1:pos:R:3 pbc="T T T"
Li 0.9685 3.2095 0.0000
Li 3.2095 7.3875 0.0000
Li 5.1465 0.9685 0.0000
Li 7.3875 5.1465 0.0000
Ca 0.0000 0.0000 0.0000
Ca 4.1780 4.1780 0.0000
Cu 0.0000 4.1780 2.4582
Cu 0.5223 1.7478 2.4582
Cu 1.5000 5.6780 1.1994
Cu 1.5000 5.6780 3.7169
Cu 1.7478 7.8337 2.4582
Cu 2.4302 3.6557 2.4582
Cu 2.6780 1.5000 1.1994
Cu 2.6780 1.5000 3.7169
Cu 3.6557 5.9258 2.4582
Cu 4.1780 0.0000 2.4582
Cu 4.7003 2.4302 2.4582
Cu 5.6780 6.8560 1.1994
Cu 5.6780 6.8560 3.7169
Cu 5.9258 4.7003 2.4582
Cu 6.6081 0.5223 2.4582
Cu 6.8560 2.6780 1.1994
Cu 6.8560 2.6780 3.7169
Cu 7.8337 6.6081 2.4582
```